(1)
CuSi2P3: theoretical X-ray powder pattern (Cu Kα X-rays), based on a crystal structure in the Materials Project, relaxed with GGA-PBE.

Crystal structure
```
6
Lattice="3.7320 0.0000 0.0000 -1.8660 3.2320 0.0000 0.0000 0.0000 9.0856" Properties=species:S:1:pos:R:3 pbc="T T T"
Cu 0.0000 0.0000 0.0000
Si 0.0000 2.1547 3.1465
Si 1.8660 1.0773 6.3218
P 0.0000 0.0000 2.3145
P 0.0000 2.1547 5.4303
P 1.8660 1.0773 8.4813
```

Top 6 peaks for 2θ from 10° to 90°, sorted by position:
| 2θ (°) | I_rel |
| --- | --- |
| 29.3 | 100.0 |
| 29.5 | 31.6 |
| 48.8 | 41.0 |
| 49.0 | 40.0 |
| 58.0 | 37.5 |
| 71.7 | 12.4 |

(2)
CsRb2DyCl6: theoretical X-ray powder pattern (Cu Kα X-rays), based on a crystal structure in the Materials Project, relaxed with GGA-PBE.

Crystal structure
```
10
Lattice="0.0000 5.9028 5.9028 5.9028 0.0000 5.9028 5.9028 5.9028 0.0000" Properties=species:S:1:pos:R:3 pbc="T T T"
Cs 0.0000 0.0000 0.0000
Rb 2.9514 2.9514 2.9514
Rb 8.8541 8.8541 8.8541
Dy 5.9028 5.9028 5.9028
Cl 5.9028 5.9028 3.2650
Cl 5.9028 3.2650 5.9028
Cl 8.5405 5.9028 5.9028
Cl 3.2650 5.9028 5.9028
Cl 5.9028 8.5405 5.9028
Cl 5.9028 5.9028 8.5405
```

Top 6 peaks for 2θ from 10° to 90°, sorted by position:
| 2θ (°) | I_rel |
| --- | --- |
| 15.0 | 28.1 |
| 21.3 | 100.0 |
| 30.3 | 59.0 |
| 37.3 | 44.7 |
| 43.4 | 40.0 |
| 58.5 | 28.1 |

(3)
ThBi2: theoretical X-ray powder pattern (Cu Kα X-rays), based on a crystal structure in the Materials Project, relaxed with GGA-PBE.

Crystal structure
```
6
Lattice="4.5585 0.0000 0.0000 0.0000 4.5585 0.0000 0.0000 0.0000 9.3904" Properties=species:S:1:pos:R:3 pbc="T T T"
Th 1.1396 1.1396 2.0811
Th 3.4189 3.4189 7.3093
Bi 1.1396 1.1396 8.1094
Bi 1.1396 3.4189 4.6952
Bi 3.4189 1.1396 4.6952
Bi 3.4189 3.4189 1.2810
```

Top 6 peaks for 2θ from 10° to 90°, sorted by position:
| 2θ (°) | I_rel |
| --- | --- |
| 28.5 | 44.9 |
| 29.3 | 100.0 |
| 33.7 | 94.9 |
| 34.8 | 40.7 |
| 39.5 | 63.6 |
| 49.5 | 41.0 |

(4)
PrEr3: theoretical X-ray powder pattern (Cu Kα X-rays), based on a crystal structure in the Materials Project, relaxed with GGA-PBE.

Crystal structure
```
8
Lattice="7.2323 0.0000 0.0000 -3.6162 6.2634 0.0000 0.0000 0.0000 5.7421" Properties=species:S:1:pos:R:3 pbc="T T T"
Pr 0.0000 4.1756 1.4355
Pr 3.6162 2.0878 4.3066
Er 0.0000 2.0560 4.3066
Er -1.8356 5.2354 4.3066
Er 1.7806 1.0280 1.4355
Er 1.8356 5.2354 4.3066
Er 5.4518 1.0280 1.4355
Er 3.6162 4.2073 1.4355
```

Top 6 peaks for 2θ from 10° to 90°, sorted by position:
| 2θ (°) | I_rel |
| --- | --- |
| 28.5 | 23.6 |
| 31.2 | 25.0 |
| 32.6 | 100.0 |
| 50.5 | 19.5 |
| 56.3 | 21.2 |
| 60.5 | 22.7 |

(5)
KO3: theoretical X-ray powder pattern (Cu Kα X-rays), based on a crystal structure in the Materials Project, relaxed with GGA-PBE.

Crystal structure
```
16
Lattice="-4.4173 4.4173 3.6166 4.4173 -4.4173 3.6166 4.4173 4.4173 -3.6166" Properties=species:S:1:pos:R:3 pbc="T T T"
K 0.0000 0.0000 1.8083
K 4.4173 0.0000 1.8083
K 0.0000 4.4173 1.8083
K 0.0000 0.0000 5.4249
O 6.6200 0.5861 0.0000
O 6.3477 1.9304 0.0000
O 5.0035 2.2027 0.0000
O 0.5861 2.2146 0.0000
O 1.9304 2.4869 0.0000
O 2.2027 3.8312 0.0000
O 2.2146 0.5861 3.6166
O 2.4869 1.9304 3.6166
O 3.8312 2.2027 3.6166
O -0.5861 2.2146 3.6166
O -1.9304 2.4869 3.6166
O -2.2027 3.8312 3.6166
```

Top 6 peaks for 2θ from 10° to 90°, sorted by position:
| 2θ (°) | I_rel |
| --- | --- |
| 25.7 | 36.3 |
| 28.6 | 18.7 |
| 32.0 | 100.0 |
| 38.1 | 36.7 |
| 40.9 | 27.7 |
| 52.8 | 16.0 |